Calculated PXRD pattern
Compound: HgMoPb
Radiation: Cu Kα
Structure: a GGA-PBE-relaxed structure
No peak broadening, texture or thermal motion is included.

Cell and atoms:
```
HgMoPb
1.0
3.2166 0.0000 0.0000
0.0000 2.4452 9.1530
0.0000 -2.4452 9.1530
Hg Mo Pb
2 2 2
Direct
0.0000 0.0000 0.0000
0.5000 0.2156 0.2156
0.0000 0.7376 0.7376
0.5000 0.8370 0.8370
0.0000 0.3809 0.3809
0.5000 0.5855 0.5855
```

Largest 8 diffraction maxima, most intense first, 2θ from 10° to 90°:
2θ/deg	I (rel.)
36.54	100
30.50	62
36.76	35
66.04	29
29.43	24
62.66	20
48.84	19
66.29	14